Calculated powder XRD pattern of NdAl6Cu6 for Cu Kα (weighted mean of Kα1 and Kα2), from a DFT-relaxed cell (PBE, Alexandria).
Peak positions follow from Bragg's law for the DFT cell and can differ from measured ones.

Principal peaks in the range 5 to 70 degrees two-theta, low angle first:
2θ (°), d [Å], intensity
14.36, 6.169, 45
20.51, 4.330, 27
28.89, 3.090, 100
40.83, 2.210, 89
41.04, 2.199, 91
41.18, 2.192, 71
41.38, 2.182, 41
41.72, 2.165, 51
46.11, 1.969, 49
59.80, 1.547, 35

Crystal structure
a b c (Å): 6.678 6.678 6.678
angles (deg): 134.97 99.16 97.71
Fractional coordinates of all 13 atoms:
Nd: 0.000 0.000 0.000
Al: 0.206 0.706 0.500
Al: 0.348 0.000 0.348
Al: 0.350 0.350 0.000
Al: 0.650 0.650 0.000
Al: 0.652 0.000 0.652
Al: 0.794 0.294 0.500
Cu: 0.000 0.000 0.500
Cu: 0.000 0.500 0.000
Cu: 0.233 0.500 0.733
Cu: 0.500 0.000 0.000
Cu: 0.500 0.500 0.500
Cu: 0.767 0.500 0.267